Computed PXRD pattern
Compound: Mn3OF5
Radiation: Cu Kα X-rays
Structure: a DFT-relaxed cell (PBE+U, Alexandria)
Lines closer than 0.1° are merged.

Main lines, by intensity (2θ = 10–80°):
2θ/deg	Rel. int.	h k l
25.50	100	1 1 2
26.27	95	1 -1 0
33.11	53	2 1 0
32.97	51	1 2 0
49.91	51	1 0 4
50.67	29	1 -2 2

Atomic structure:
Lattice parameters (Å, degrees): 5.844 5.875 7.717 72.41 72.24 70.77
Fractional coordinates of all 18 atoms:
Mn: 0.000 0.000 0.000
Mn: 0.000 0.000 0.500
Mn: 0.325 0.321 0.175
Mn: 0.371 0.303 0.661
Mn: 0.629 0.697 0.339
Mn: 0.675 0.679 0.825
O: 0.328 0.984 0.342
O: 0.672 0.016 0.658
F: 0.059 0.620 0.662
F: 0.110 0.091 0.698
F: 0.243 0.226 0.959
F: 0.302 0.683 0.006
F: 0.431 0.436 0.366
F: 0.569 0.564 0.634
F: 0.698 0.317 0.994
F: 0.757 0.774 0.041
F: 0.890 0.909 0.302
F: 0.941 0.380 0.338